Simulated powder X-ray diffraction pattern of BaMg6Cr for Cu Kα (weighted mean of Kα1 and Kα2), from a cell relaxed with PBE.
Lines closer than 0.1° are merged.

Structure:
```
data_BaMg6Cr
_chemical_formula_sum 'Ba2 Mg12 Cr2'
_symmetry_space_group_name_H-M 'A m m 2'
_symmetry_Int_Tables_number 38
_cell_length_a 5.269
_cell_length_b 6.725
_cell_length_c 11.869
_cell_angle_alpha 90.00
_cell_angle_beta 90.00
_cell_angle_gamma 90.00
loop_
_symmetry_equiv_pos_as_xyz
'x,y,z'
'-x,-y,z'
'-x,y,z'
'x,-y,z'
'x,y+1/2,z+1/2'
'-x,-y+1/2,z+1/2'
'-x,y+1/2,z+1/2'
'x,-y+1/2,z+1/2'
loop_
_atom_site_label
_atom_site_type_symbol
_atom_site_fract_x
_atom_site_fract_y
_atom_site_fract_z
Ba1 Ba 0.000 0.000 0.000
Mg1 Mg 0.000 0.245 0.251
Mg2 Mg 0.500 0.000 0.179
Mg3 Mg 0.500 0.000 0.655
Mg4 Mg 0.500 0.223 0.413
Cr1 Cr 0.000 0.000 0.493
```

Peak list (12 most intense, 2θ = 10–90°, in order of falling intensity)
2θ 35.1, I 100, (1 2 2); 2θ 34.7, I 52, (1 0 4); 2θ 14.9, I 39, (0 0 2); 2θ 34.0, I 35, (2 0 0); 2θ 30.6, I 35, (0 2 2); 2θ 22.6, I 32, (1 0 2); 2θ 16.8, I 31, (1 0 0); 2θ 22.7, I 26, (1 1 1); 2θ 46.4, I 21, (2 2 2); 2θ 53.8, I 21, (0 2 6); 2θ 65.2, I 19, (2 2 6); 2θ 15.1, I 19, (0 1 1)